[1]
For Zn2Ni, the PBE geometry in OQMD gives the calculated XRD peak list in this record (Cu Ka).
Kinematic intensities with the Lorentz-polarization factor, no thermal factor.

Structural model:
Lattice parameters (Å, degrees): 6.9226 4.2650 10.4699 90.00 100.73 90.00
Space group P2_1/m (No. 11)
One atom of each set of equivalent atoms:
Zn: 0.0455 0.2500 0.3166 (multiplicity 2)
Zn: 0.0514 0.2500 0.0742 (multiplicity 2)
Zn: 0.0652 0.2500 0.5698 (multiplicity 2)
Zn: 0.0793 0.2500 0.8194 (multiplicity 2)
Zn: 0.2857 0.7500 0.1028 (multiplicity 2)
Zn: 0.2856 0.7500 0.3462 (multiplicity 2)
Zn: 0.3910 0.2500 0.4864 (multiplicity 2)
Zn: 0.3925 0.2500 0.9868 (multiplicity 2)
Ni: 0.2803 0.7500 0.5996 (multiplicity 2)
Ni: 0.2883 0.7500 0.8454 (multiplicity 2)
Ni: 0.3900 0.2500 0.2375 (multiplicity 2)
Ni: 0.3913 0.2500 0.7339 (multiplicity 2)

Main lines, sorted by position (15 to 90 degrees two-theta):
| index | two_theta | I (rel.) |
| --- | --- | --- |
| 1 0 4 | 39.73 | 16 |
| 0 2 0 | 42.39 | 28 |
| 1 1 4 | 45.30 | 100 |
| 2 2 -4 | 59.51 | 14 |
| 1 3 4 | 79.59 | 17 |
| 1 2 -8 | 87.49 | 12 |

[2]
For KRbPuS3, the PBE geometry in OQMD gives the calculated XRD peak list in this record (Cu Ka).
Kinematic intensities with the Lorentz-polarization factor, no thermal factor.

Structural model:
Lattice parameters (Å, degrees): 7.3551 7.3801 7.8327 69.05 84.87 84.40
Space group P-1 (No. 2)
One atom of each set of equivalent atoms:
K: 0.1948 0.4935 0.1863 (multiplicity 2)
Rb: 0.2959 0.8176 0.5069 (multiplicity 2)
Pu: 0.2510 0.0793 0.9131 (multiplicity 2)
S: 0.0100 0.8636 0.8537 (multiplicity 2)
S: 0.2535 0.3406 0.6028 (multiplicity 2)
S: 0.4900 0.1921 0.0840 (multiplicity 2)

Main lines, sorted by position (15 to 90 degrees two-theta):
| index | two_theta | I (rel.) |
| --- | --- | --- |
| 1 1 -1 | 23.89 | 45 |
| 1 -1 1 | 24.09 | 52 |
| 2 0 0 | 24.38 | 100 |
| 1 2 1 | 26.17 | 29 |
| -2 1 1 | 29.74 | 33 |
| 1 0 3 | 38.29 | 30 |

[3]
For Nd2Sm2CI3Cl2, the PBE geometry in OQMD gives the calculated XRD peak list in this record (Cu Ka).
Kinematic intensities with the Lorentz-polarization factor, no thermal factor.

Structural model:
Lattice parameters (Å, degrees): 17.9527 4.0281 8.8637 90.00 102.63 90.00
Space group C2/m (No. 12)
One atom of each set of equivalent atoms:
Nd: 0.0044 0.0000 0.3068 (multiplicity 4)
Sm: 0.1416 0.5000 0.5678 (multiplicity 4)
C: 0.0000 0.5000 0.5000 (multiplicity 2)
I: 0.0000 0.5000 0.0000 (multiplicity 2)
I: 0.1737 0.0000 0.8405 (multiplicity 4)
Cl: 0.1720 0.0000 0.3631 (multiplicity 4)

Main lines, sorted by position (15 to 90 degrees two-theta):
| index | two_theta | I (rel.) |
| --- | --- | --- |
| 4 0 -1 | 20.63 | 20 |
| 3 1 -1 | 27.59 | 18 |
| 1 1 -2 | 30.00 | 100 |
| 6 0 0 | 30.62 | 29 |
| 5 1 2 | 42.94 | 17 |
| 7 1 -2 | 43.83 | 20 |

[4]
For Hf2IBrN2, the PBE geometry in OQMD gives the calculated XRD peak list in this record (Cu Ka).
Kinematic intensities with the Lorentz-polarization factor, no thermal factor.

Structural model:
Lattice parameters (Å, degrees): 3.6315 4.1175 8.9455 90.00 90.00 90.00
Space group Pmm2 (No. 25)
One atom of each set of equivalent atoms:
Hf: 0.0000 0.0000 0.0000 (multiplicity 1)
Hf: 0.5000 0.5000 0.1893 (multiplicity 1)
I: 0.0000 0.5000 0.4458 (multiplicity 1)
Br: 0.5000 0.0000 0.7682 (multiplicity 1)
N: 0.0000 0.5000 0.0624 (multiplicity 1)
N: 0.5000 0.0000 0.1266 (multiplicity 1)

Main lines, sorted by position (15 to 90 degrees two-theta):
| index | two_theta | I (rel.) |
| --- | --- | --- |
| 0 1 1 | 23.79 | 100 |
| 1 0 2 | 31.74 | 98 |
| 1 1 1 | 34.42 | 82 |
| 0 1 3 | 37.23 | 30 |
| 0 2 0 | 43.98 | 25 |
| 1 2 2 | 55.25 | 41 |

[5]
For Pr4CBr4F, the PBE geometry in OQMD gives the calculated XRD peak list in this record (Cu Ka).
Kinematic intensities with the Lorentz-polarization factor, no thermal factor.

Structural model:
Lattice parameters (Å, degrees): 18.3730 3.8281 7.7976 90.00 101.74 90.00
Space group C2/m (No. 12)
One atom of each set of equivalent atoms:
Pr: 0.0029 0.0000 0.2670 (multiplicity 4)
Pr: 0.1413 0.5000 0.5778 (multiplicity 4)
C: 0.0000 0.5000 0.5000 (multiplicity 2)
Br: 0.1614 0.0000 0.8710 (multiplicity 4)
Br: 0.1734 0.0000 0.3092 (multiplicity 4)
F: 0.0000 0.5000 0.0000 (multiplicity 2)

Main lines, sorted by position (15 to 90 degrees two-theta):
| index | two_theta | I (rel.) |
| --- | --- | --- |
| 1 1 -1 | 26.06 | 20 |
| 6 0 0 | 29.80 | 52 |
| 1 1 -2 | 32.79 | 100 |
| 5 1 0 | 34.22 | 33 |
| 5 1 2 | 44.74 | 34 |
| 7 1 -2 | 45.04 | 26 |

[6]
For SmGdSc2Sn2, the PBE geometry in OQMD gives the calculated XRD peak list in this record (Cu Ka).
Kinematic intensities with the Lorentz-polarization factor, no thermal factor.

Structural model:
Lattice parameters (Å, degrees): 4.4603 4.4603 16.3816 90.00 90.00 90.00
Space group I4mm (No. 107)
One atom of each set of equivalent atoms:
Sm: 0.0000 0.0000 0.0000 (multiplicity 2)
Gd: 0.0000 0.0000 0.3487 (multiplicity 2)
Sc: 0.0000 0.5000 0.1752 (multiplicity 4)
Sn: 0.0000 0.0000 0.5455 (multiplicity 2)
Sn: 0.0000 0.0000 0.8038 (multiplicity 2)

Main lines, sorted by position (15 to 90 degrees two-theta):
| index | two_theta | I (rel.) |
| --- | --- | --- |
| 1 1 0 | 28.30 | 100 |
| 1 1 2 | 30.37 | 63 |
| 1 0 5 | 33.95 | 77 |
| 1 1 4 | 35.94 | 95 |
| 2 0 0 | 40.45 | 75 |
| 2 1 5 | 53.81 | 42 |

[7]
For BiPd19, the PBE geometry in OQMD gives the calculated XRD peak list in this record (Cu Ka).
Kinematic intensities with the Lorentz-polarization factor, no thermal factor.

Structural model:
Lattice parameters (Å, degrees): 5.6239 3.8735 38.0314 90.00 90.00 90.00
Space group P2_1/m (No. 11)
One atom of each set of equivalent atoms:
Bi: 0.1251 0.2500 0.3540 (multiplicity 2)
Pd: 0.1241 0.2500 0.7605 (multiplicity 2)
Pd: 0.1248 0.2500 0.0551 (multiplicity 2)
Pd: 0.1251 0.2500 0.1285 (multiplicity 2)
Pd: 0.1252 0.2500 0.2024 (multiplicity 2)
Pd: 0.1250 0.2500 0.2768 (multiplicity 2)
Pd: 0.1246 0.2500 0.8344 (multiplicity 2)
Pd: 0.1253 0.2500 0.9081 (multiplicity 2)
Pd: 0.1252 0.2500 0.9817 (multiplicity 2)
Pd: 0.1260 0.2500 0.6850 (multiplicity 2)
Pd: 0.3742 0.7500 0.2395 (multiplicity 2)
Pd: 0.3750 0.7500 0.0183 (multiplicity 2)
Pd: 0.3751 0.7500 0.0918 (multiplicity 2)
Pd: 0.3751 0.7500 0.1655 (multiplicity 2)
Pd: 0.3748 0.7500 0.6487 (multiplicity 2)
Pd: 0.3750 0.7500 0.7235 (multiplicity 2)
Pd: 0.3748 0.7500 0.7975 (multiplicity 2)
Pd: 0.3749 0.7500 0.8712 (multiplicity 2)
Pd: 0.3751 0.7500 0.9448 (multiplicity 2)
Pd: 0.3760 0.7500 0.3150 (multiplicity 2)

Main lines, sorted by position (15 to 90 degrees two-theta):
| index | two_theta | I (rel.) |
| --- | --- | --- |
| 0 1 13 | 38.57 | 54 |
| 2 1 0 | 39.62 | 100 |
| 0 1 14 | 40.56 | 50 |
| 2 0 13 | 44.70 | 35 |
| 2 0 -14 | 46.48 | 35 |
| 0 2 0 | 46.92 | 31 |

[8]
For La2PrSn3Pd3, the PBE geometry in OQMD gives the calculated XRD peak list in this record (Cu Ka).
Kinematic intensities with the Lorentz-polarization factor, no thermal factor.

Structural model:
Lattice parameters (Å, degrees): 4.2026 13.3374 7.6869 90.00 90.00 90.00
Space group Amm2 (No. 38)
One atom of each set of equivalent atoms:
La: 0.0000 0.2072 0.0000 (multiplicity 4)
Pr: 0.0000 0.0000 0.3796 (multiplicity 2)
Sn: 0.5000 0.0000 0.0414 (multiplicity 2)
Sn: 0.5000 0.1235 0.6680 (multiplicity 4)
Pd: 0.0000 0.0000 0.7923 (multiplicity 2)
Pd: 0.5000 0.1668 0.2924 (multiplicity 4)

Main lines, sorted by position (15 to 90 degrees two-theta):
| index | two_theta | I (rel.) |
| --- | --- | --- |
| 1 0 2 | 31.53 | 96 |
| 1 4 0 | 34.35 | 100 |
| 0 4 2 | 35.65 | 54 |
| 0 3 3 | 40.62 | 30 |
| 2 0 0 | 43.05 | 30 |
| 1 1 5 | 64.91 | 31 |

[9]
For Cu7Ag, the PBE geometry in OQMD gives the calculated XRD peak list in this record (Cu Ka).
Kinematic intensities with the Lorentz-polarization factor, no thermal factor.

Structural model:
Lattice parameters (Å, degrees): 3.6952 3.6952 14.7073 90.00 90.00 90.00
Space group I4/mmm (No. 139)
One atom of each set of equivalent atoms:
Cu: 0.0000 0.0000 0.0000 (multiplicity 2)
Cu: 0.0000 0.0000 0.2502 (multiplicity 4)
Cu: 0.0000 0.5000 0.1312 (multiplicity 8)
Ag: 0.0000 0.0000 0.5000 (multiplicity 2)

Main lines, sorted by position (15 to 90 degrees two-theta):
| index | two_theta | I (rel.) |
| --- | --- | --- |
| 1 1 4 | 42.44 | 100 |
| 2 0 0 | 49.32 | 32 |
| 0 0 8 | 49.59 | 15 |
| 2 0 8 | 72.54 | 18 |
| 3 1 4 | 87.62 | 22 |
| 1 1 12 | 88.02 | 10 |

[10]
For B4Os, the PBE geometry in OQMD gives the calculated XRD peak list in this record (Cu Ka).
Kinematic intensities with the Lorentz-polarization factor, no thermal factor.

Structural model:
Lattice parameters (Å, degrees): 2.9172 7.1006 8.0643 90.00 90.00 90.00
Space group Cmcm (No. 63)
One atom of each set of equivalent atoms:
B: 0.0000 0.1511 0.0077 (multiplicity 8)
B: 0.0000 0.3097 0.6434 (multiplicity 8)
Os: 0.0000 0.0080 0.7500 (multiplicity 4)

Main lines, sorted by position (15 to 90 degrees two-theta):
| index | two_theta | I (rel.) |
| --- | --- | --- |
| 0 0 2 | 22.04 | 100 |
| 0 2 0 | 25.08 | 68 |
| 1 1 0 | 33.20 | 88 |
| 0 2 2 | 33.63 | 84 |
| 1 1 2 | 40.21 | 91 |
| 1 3 2 | 54.90 | 48 |

[11]
For LiNi3B2, the PBE geometry in OQMD gives the calculated XRD peak list in this record (Cu Ka).
Kinematic intensities with the Lorentz-polarization factor, no thermal factor.

Structural model:
Lattice parameters (Å, degrees): 4.8457 4.8457 8.6333 90.00 90.00 120.00
Space group P6_422 (No. 181)
One atom of each set of equivalent atoms:
Li: 0.0000 0.0000 0.0000 (multiplicity 3)
Ni: 0.0000 0.5000 0.1227 (multiplicity 6)
Ni: 0.0000 0.5000 0.8333 (multiplicity 3)
B: 0.2182 0.6091 0.3333 (multiplicity 6)

Main lines, sorted by position (15 to 90 degrees two-theta):
| index | two_theta | I (rel.) |
| --- | --- | --- |
| 1 0 0 | 21.17 | 81 |
| 0 0 3 | 31.08 | 37 |
| 2 0 0 | 43.11 | 100 |
| 1 0 4 | 47.36 | 35 |
| 2 0 3 | 54.09 | 56 |
| 1 1 4 | 57.16 | 18 |

[12]
For K3Ta3B2O12, the PBE geometry in OQMD gives the calculated XRD peak list in this record (Cu Ka).
Kinematic intensities with the Lorentz-polarization factor, no thermal factor.

Structural model:
Lattice parameters (Å, degrees): 8.8081 8.8081 3.9082 90.00 90.00 120.00
Space group P-62m (No. 189)
One atom of each set of equivalent atoms:
K: 0.0000 0.4043 0.0000 (multiplicity 3)
Ta: 0.0000 0.7531 0.5000 (multiplicity 3)
B: 0.3333 0.6667 0.5000 (multiplicity 2)
O: 0.0000 0.1817 0.5000 (multiplicity 3)
O: 0.0000 0.7371 0.0000 (multiplicity 3)
O: 0.1871 0.6836 0.5000 (multiplicity 6)

Main lines, sorted by position (15 to 90 degrees two-theta):
| index | two_theta | I (rel.) |
| --- | --- | --- |
| 1 1 0 | 20.16 | 96 |
| 0 0 1 | 22.75 | 52 |
| 1 1 1 | 30.58 | 86 |
| 2 1 0 | 31.02 | 100 |
| 2 1 1 | 38.81 | 44 |
| 2 1 2 | 56.93 | 36 |

Copy entry 11 word for word.
For LiNi3B2, the PBE geometry in OQMD gives the calculated XRD peak list in this record (Cu Ka).
Kinematic intensities with the Lorentz-polarization factor, no thermal factor.

Structural model:
Lattice parameters (Å, degrees): 4.8457 4.8457 8.6333 90.00 90.00 120.00
Space group P6_422 (No. 181)
One atom of each set of equivalent atoms:
Li: 0.0000 0.0000 0.0000 (multiplicity 3)
Ni: 0.0000 0.5000 0.1227 (multiplicity 6)
Ni: 0.0000 0.5000 0.8333 (multiplicity 3)
B: 0.2182 0.6091 0.3333 (multiplicity 6)

Main lines, sorted by position (15 to 90 degrees two-theta):
| index | two_theta | I (rel.) |
| --- | --- | --- |
| 1 0 0 | 21.17 | 81 |
| 0 0 3 | 31.08 | 37 |
| 2 0 0 | 43.11 | 100 |
| 1 0 4 | 47.36 | 35 |
| 2 0 3 | 54.09 | 56 |
| 1 1 4 | 57.16 | 18 |